For Ce7Ti4Se12O6, a crystal structure in the Materials Project, relaxed with GGA-PBE gives the calculated powder diffractogram in this record (Cu Kα X-rays).

Largest 8 diffraction maxima, sorted by position, 5° ≤ 2θ ≤ 70°:
- 25.31°, I = 30
- 29.24°, I = 74
- 30.83°, I = 31
- 32.85°, I = 54
- 33.24°, I = 95
- 34.91°, I = 100
- 40.14°, I = 30
- 47.27°, I = 56

Crystal structure
Cell lengths 14.2066, 14.2066, 11.1245 Å; angles 90.35, 90.35, 15.56 degrees
Atoms (fractional coordinates):
Ce  0.0000  0.0000  0.0000
Ce  0.1310  0.1310  0.4617
Ce  0.3630  0.3630  0.6559
Ce  0.5102  0.5102  0.5008
Ce  0.6194  0.6194  0.9648
Ce  0.7610  0.7610  0.8112
Ce  0.8864  0.8864  0.2776
Ti  0.0639  0.0639  0.7323
Ti  0.3510  0.3510  0.9643
Ti  0.5639  0.5639  0.2320
Ti  0.7721  0.7721  0.4989
Se  0.0004  0.0004  0.2817
Se  0.1238  0.1238  0.1850
Se  0.1996  0.1996  0.9393
Se  0.2257  0.2257  0.6149
Se  0.3199  0.3199  0.3902
Se  0.4240  0.4240  0.1069
Se  0.4995  0.4995  0.7723
Se  0.6271  0.6271  0.6918
Se  0.7026  0.7026  0.3644
Se  0.8097  0.8097  0.0770
Se  0.9018  0.9018  0.8521
Se  0.9266  0.9266  0.5233
O  0.0483  0.0483  0.5617
O  0.0783  0.0783  0.9040
O  0.3098  0.3098  0.8272
O  0.5406  0.5406  0.0644
O  0.5853  0.5853  0.3998
O  0.8161  0.8161  0.6379